1.
Structure and simulated X-ray powder pattern of TbAl7Au3 (the PBE geometry in OQMD; copper Kα).
Lines closer than 0.1° are merged.

Top 10 peaks for 2θ = 15–90°, by intensity:
25.37 deg, intensity 100.0
46.65 deg, intensity 43.7
38.49 deg, intensity 37.7
33.75 deg, intensity 34.8
44.65 deg, intensity 32.4
66.56 deg, intensity 29.3
62.03 deg, intensity 17.6
73.93 deg, intensity 10.5
88.02 deg, intensity 9.2
52.11 deg, intensity 9.1

Cell and atoms:
abc: 8.4481 8.4481 8.4481
angles: 57.31 57.31 57.31
Fractional coordinates of all 22 atoms:
Tb 0.0000 0.0000 0.0000
Tb 0.5000 0.5000 0.5000
Al 0.0694 0.8529 0.6675
Al 0.1471 0.3325 0.9306
Al 0.1675 0.3529 0.5694
Al 0.2500 0.2500 0.2500
Al 0.3325 0.9306 0.1471
Al 0.3529 0.5694 0.1675
Al 0.4306 0.8325 0.6471
Al 0.5694 0.1675 0.3529
Al 0.6471 0.4306 0.8325
Al 0.6675 0.0694 0.8529
Al 0.7500 0.7500 0.7500
Al 0.8325 0.6471 0.4306
Al 0.8529 0.6675 0.0694
Al 0.9306 0.1471 0.3325
Au 0.0736 0.7500 0.4264
Au 0.2500 0.5736 0.9264
Au 0.4264 0.0736 0.7500
Au 0.5736 0.9264 0.2500
Au 0.7500 0.4264 0.0736
Au 0.9264 0.2500 0.5736


2.
Structure and simulated X-ray powder pattern of U3Sb2Os4 (the PBE geometry in OQMD; copper Kα).
Lines closer than 0.1° are merged.

Top 10 peaks for 2θ = 15–90°, by intensity:
36.33 deg, intensity 100.0
32.99 deg, intensity 37.2
39.79 deg, intensity 32.0
41.25 deg, intensity 27.4
71.97 deg, intensity 23.7
58.65 deg, intensity 21.0
45.06 deg, intensity 15.0
89.33 deg, intensity 12.4
29.81 deg, intensity 12.0
77.14 deg, intensity 10.3

Cell and atoms:
abc: 6.9218 6.9218 4.3775
angles: 90.00 90.00 120.00
Fractional coordinates of all 9 atoms:
U 0.1456 0.7903 0.0000
U 0.2097 0.3553 0.0000
U 0.6447 0.8544 0.0000
Sb 0.0000 0.0000 0.5000
Sb 0.6667 0.3333 0.0000
Os 0.3333 0.6667 0.5000
Os 0.4261 0.0843 0.5000
Os 0.6583 0.5739 0.5000
Os 0.9157 0.3417 0.5000